# 1
For CuNi12Sn4H3, a DFT-relaxed cell (PBE, Alexandria) gives the simulated XRD peak list in this record (λ = 1.5418 Å (Cu Kα)).
Neutral-atom scattering factors, no anomalous dispersion.

Crystal structure
Unit cell a=6.7258 b=6.7258 c=6.7258 alpha=109.47 beta=109.47 gamma=109.47
Sites, in units of the cell vectors:
Cu (0.0000, 0.0000, 0.0000)
Ni (0.0000, 0.2894, 0.2894)
Ni (0.0000, 0.7106, 0.7106)
Ni (0.2500, 0.5000, 0.7500)
Ni (0.2500, 0.7500, 0.5000)
Ni (0.2894, 0.0000, 0.2894)
Ni (0.2894, 0.2894, 0.0000)
Ni (0.5000, 0.2500, 0.7500)
Ni (0.5000, 0.7500, 0.2500)
Ni (0.7106, 0.0000, 0.7106)
Ni (0.7106, 0.7106, 0.0000)
Ni (0.7500, 0.2500, 0.5000)
Ni (0.7500, 0.5000, 0.2500)
Sn (0.0000, 0.0000, 0.5000)
Sn (0.0000, 0.5000, 0.0000)
Sn (0.5000, 0.0000, 0.0000)
Sn (0.5000, 0.5000, 0.5000)
H (0.0000, 0.5000, 0.5000)
H (0.5000, 0.0000, 0.5000)
H (0.5000, 0.5000, 0.0000)

Top 10 peaks for 10 to 90 degrees two-theta, in order of rising 2θ:
32.6 deg, rel. 22
40.2 deg, rel. 100
43.6 deg, rel. 7
46.8 deg, rel. 60
55.5 deg, rel. 6
58.2 deg, rel. 6
68.3 deg, rel. 34
77.8 deg, rel. 7
82.4 deg, rel. 30
86.9 deg, rel. 11

=====

# 2
For CsNbInF6, a DFT-relaxed cell (PBE, Alexandria) gives the simulated XRD peak list in this record (λ = 1.5418 Å (Cu Kα)).
Neutral-atom scattering factors, no anomalous dispersion.

Crystal structure
Unit cell a=6.8592 b=6.8592 c=9.9896 alpha=90.00 beta=90.00 gamma=120.00
Sites, in units of the cell vectors:
Cs (0.0000, 0.0000, 0.0000)
Cs (0.0000, 0.0000, 0.5000)
Nb (0.3333, 0.6667, 0.2500)
Nb (0.6667, 0.3333, 0.7500)
In (0.3333, 0.6667, 0.7500)
In (0.6667, 0.3333, 0.2500)
F (0.0789, 0.4163, 0.1458)
F (0.0789, 0.6626, 0.3542)
F (0.3374, 0.4163, 0.3542)
F (0.3374, 0.9211, 0.1458)
F (0.4163, 0.0789, 0.6458)
F (0.4163, 0.3374, 0.8542)
F (0.5837, 0.6626, 0.1458)
F (0.5837, 0.9211, 0.3542)
F (0.6626, 0.0789, 0.8542)
F (0.6626, 0.5837, 0.6458)
F (0.9211, 0.3374, 0.6458)
F (0.9211, 0.5837, 0.8542)

Top 10 peaks for 10 to 90 degrees two-theta, in order of rising 2θ:
23.3 deg, rel. 100
26.0 deg, rel. 59
35.2 deg, rel. 31
44.2 deg, rel. 33
44.9 deg, rel. 41
45.8 deg, rel. 20
59.0 deg, rel. 15
59.6 deg, rel. 12
66.1 deg, rel. 12
84.1 deg, rel. 10

=====

# 3
For BeH8Cl2O4, a DFT-relaxed cell (PBE, Alexandria) gives the simulated XRD peak list in this record (λ = 1.5418 Å (Cu Kα)).
Neutral-atom scattering factors, no anomalous dispersion.

Crystal structure
Unit cell a=6.6649 b=13.1781 c=7.9691 alpha=90.00 beta=104.64 gamma=90.00
Sites, in units of the cell vectors:
Be (0.1886, 0.0887, 0.2728)
Be (0.1886, 0.4113, 0.7728)
Be (0.8114, 0.5887, 0.2272)
Be (0.8114, 0.9113, 0.7272)
H (0.0168, 0.1597, 0.4587)
H (0.0168, 0.3403, 0.9587)
H (0.1084, 0.6564, 0.4148)
H (0.1084, 0.8436, 0.9148)
H (0.1409, 0.5388, 0.3643)
H (0.1409, 0.9612, 0.8643)
H (0.2294, 0.1122, 0.5762)
H (0.2294, 0.3878, 0.0762)
H (0.2601, 0.5843, 0.8648)
H (0.2601, 0.9157, 0.3648)
H (0.3648, 0.1457, 0.0807)
H (0.3648, 0.3543, 0.5807)
H (0.4053, 0.5427, 0.7439)
H (0.4053, 0.9573, 0.2439)
H (0.4794, 0.1836, 0.2768)
H (0.4794, 0.3164, 0.7768)
H (0.5206, 0.6836, 0.2232)
H (0.5206, 0.8164, 0.7232)
H (0.5947, 0.0427, 0.7561)
H (0.5947, 0.4573, 0.2561)
H (0.6352, 0.6457, 0.4193)
H (0.6352, 0.8543, 0.9193)
H (0.7399, 0.0843, 0.6352)
H (0.7399, 0.4157, 0.1352)
H (0.7706, 0.6122, 0.9238)
H (0.7706, 0.8878, 0.4238)
H (0.8591, 0.0388, 0.1357)
H (0.8591, 0.4612, 0.6357)
H (0.8916, 0.1564, 0.0852)
H (0.8916, 0.3436, 0.5852)
H (0.9832, 0.6597, 0.0413)
H (0.9832, 0.8403, 0.5413)
Cl (0.2552, 0.7088, 0.0155)
Cl (0.2552, 0.7912, 0.5155)
Cl (0.3344, 0.0759, 0.8331)
Cl (0.3344, 0.4241, 0.3331)
Cl (0.6656, 0.5759, 0.6669)
Cl (0.6656, 0.9241, 0.1669)
Cl (0.7448, 0.2088, 0.4845)
Cl (0.7448, 0.2912, 0.9845)
O (0.0353, 0.5918, 0.3707)
O (0.0353, 0.9082, 0.8707)
O (0.1554, 0.1308, 0.4548)
O (0.1554, 0.3692, 0.9548)
O (0.2861, 0.5252, 0.7940)
O (0.2861, 0.9748, 0.2940)
O (0.3450, 0.1620, 0.1975)
O (0.3450, 0.3380, 0.6975)
O (0.6550, 0.6620, 0.3025)
O (0.6550, 0.8380, 0.8025)
O (0.7139, 0.0252, 0.7060)
O (0.7139, 0.4748, 0.2060)
O (0.8446, 0.6308, 0.0452)
O (0.8446, 0.8692, 0.5452)
O (0.9647, 0.0918, 0.1293)
O (0.9647, 0.4082, 0.6293)

Top 10 peaks for 10 to 90 degrees two-theta, in order of rising 2θ:
24.2 deg, rel. 47
24.5 deg, rel. 100
24.7 deg, rel. 67
26.8 deg, rel. 66
27.7 deg, rel. 49
29.5 deg, rel. 36
30.4 deg, rel. 59
31.4 deg, rel. 44
34.2 deg, rel. 50
35.6 deg, rel. 32

=====

# 4
For AcCd5Ni2, a DFT-relaxed cell (PBE, Alexandria) gives the simulated XRD peak list in this record (λ = 1.5418 Å (Cu Kα)).
Neutral-atom scattering factors, no anomalous dispersion.

Crystal structure
Unit cell a=4.2865 b=8.1689 c=9.9459 alpha=90.00 beta=90.00 gamma=90.00
Sites, in units of the cell vectors:
Ac (0.0000, 0.0000, 0.0000)
Ac (0.5000, 0.5000, 0.5000)
Cd (0.0000, 0.1849, 0.3400)
Cd (0.0000, 0.1849, 0.6600)
Cd (0.0000, 0.5000, 0.0000)
Cd (0.0000, 0.8151, 0.3400)
Cd (0.0000, 0.8151, 0.6600)
Cd (0.5000, 0.0000, 0.5000)
Cd (0.5000, 0.3151, 0.1600)
Cd (0.5000, 0.3151, 0.8400)
Cd (0.5000, 0.6849, 0.1600)
Cd (0.5000, 0.6849, 0.8400)
Ni (0.0000, 0.5000, 0.2695)
Ni (0.0000, 0.5000, 0.7305)
Ni (0.5000, 0.0000, 0.2305)
Ni (0.5000, 0.0000, 0.7695)

Top 10 peaks for 10 to 90 degrees two-theta, in order of rising 2θ:
28.3 deg, rel. 23
31.6 deg, rel. 71
34.2 deg, rel. 100
39.2 deg, rel. 17
42.2 deg, rel. 29
42.6 deg, rel. 28
43.4 deg, rel. 22
61.5 deg, rel. 18
74.0 deg, rel. 11
79.3 deg, rel. 11

=====

# 5
For DyThSi2, a DFT-relaxed cell (PBE, Alexandria) gives the simulated XRD peak list in this record (λ = 1.5418 Å (Cu Kα)).
Neutral-atom scattering factors, no anomalous dispersion.

Crystal structure
Unit cell a=3.9565 b=4.3462 c=10.7476 alpha=90.00 beta=90.00 gamma=90.00
Sites, in units of the cell vectors:
Dy (0.0000, 0.0000, 0.0000)
Dy (0.0000, 0.5000, 0.5000)
Th (0.5000, 0.0000, 0.7203)
Th (0.5000, 0.5000, 0.2203)
Si (0.0000, 0.0000, 0.2864)
Si (0.0000, 0.5000, 0.7864)
Si (0.5000, 0.0000, 0.4366)
Si (0.5000, 0.5000, 0.9366)

Top 10 peaks for 10 to 90 degrees two-theta, in order of rising 2θ:
22.1 deg, rel. 45
28.0 deg, rel. 71
31.7 deg, rel. 100
32.4 deg, rel. 54
33.3 deg, rel. 29
39.8 deg, rel. 32
41.6 deg, rel. 22
50.9 deg, rel. 29
52.9 deg, rel. 25
57.3 deg, rel. 22

=====

# 6
For BaCr4Pt, a DFT-relaxed cell (PBE, Alexandria) gives the simulated XRD peak list in this record (λ = 1.5418 Å (Cu Kα)).
Neutral-atom scattering factors, no anomalous dispersion.

Crystal structure
Unit cell a=5.1251 b=5.1251 c=5.1251 alpha=60.00 beta=60.00 gamma=60.00
Sites, in units of the cell vectors:
Ba (0.0000, 0.0000, 0.0000)
Cr (0.1344, 0.6219, 0.6219)
Cr (0.6219, 0.1344, 0.6219)
Cr (0.6219, 0.6219, 0.1344)
Cr (0.6219, 0.6219, 0.6219)
Pt (0.2500, 0.2500, 0.2500)

Top 10 peaks for 10 to 90 degrees two-theta, in order of rising 2θ:
21.2 deg, rel. 26
35.0 deg, rel. 73
41.3 deg, rel. 100
43.2 deg, rel. 12
55.2 deg, rel. 7
62.8 deg, rel. 27
67.1 deg, rel. 30
74.0 deg, rel. 21
84.6 deg, rel. 12
88.4 deg, rel. 11

=====

# 7
For Pm2Sn6Pb, a DFT-relaxed cell (PBE, Alexandria) gives the simulated XRD peak list in this record (λ = 1.5418 Å (Cu Kα)).
Neutral-atom scattering factors, no anomalous dispersion.

Crystal structure
Unit cell a=8.8324 b=8.8324 c=4.2919 alpha=103.96 beta=103.96 gamma=71.08
Sites, in units of the cell vectors:
Pm (0.0000, 0.0000, 0.0000)
Pm (0.7113, 0.7113, 0.7128)
Sn (0.0012, 0.7100, 0.3561)
Sn (0.3286, 0.7465, 0.5409)
Sn (0.3828, 0.9645, 0.1761)
Sn (0.7100, 0.0012, 0.3561)
Sn (0.7465, 0.3286, 0.5409)
Sn (0.9645, 0.3828, 0.1761)
Pb (0.3555, 0.3555, 0.3491)

Top 10 peaks for 10 to 90 degrees two-theta, in order of rising 2θ:
21.7 deg, rel. 67
22.5 deg, rel. 41
32.7 deg, rel. 76
33.5 deg, rel. 100
36.0 deg, rel. 38
38.9 deg, rel. 38
39.4 deg, rel. 24
42.1 deg, rel. 29
49.2 deg, rel. 23
54.3 deg, rel. 37

=====

# 8
For CePaPO2, a DFT-relaxed cell (PBE, Alexandria) gives the simulated XRD peak list in this record (λ = 1.5418 Å (Cu Kα)).
Neutral-atom scattering factors, no anomalous dispersion.

Crystal structure
Unit cell a=3.7869 b=3.7869 c=12.1551 alpha=90.00 beta=90.00 gamma=90.00
Sites, in units of the cell vectors:
Ce (0.0000, 0.0000, 0.0000)
Ce (0.5000, 0.5000, 0.5000)
Pa (0.0000, 0.0000, 0.2769)
Pa (0.5000, 0.5000, 0.7769)
P (0.0000, 0.0000, 0.6430)
P (0.5000, 0.5000, 0.1430)
O (0.0000, 0.5000, 0.3800)
O (0.0000, 0.5000, 0.8800)
O (0.5000, 0.0000, 0.3800)
O (0.5000, 0.0000, 0.8800)

Top 10 peaks for 10 to 90 degrees two-theta, in order of rising 2θ:
14.6 deg, rel. 16
24.6 deg, rel. 74
29.4 deg, rel. 21
32.4 deg, rel. 100
33.5 deg, rel. 50
45.1 deg, rel. 40
48.1 deg, rel. 25
54.7 deg, rel. 18
58.5 deg, rel. 17
59.1 deg, rel. 36

=====

# 9
For CdSb2Se, a DFT-relaxed cell (PBE, Alexandria) gives the simulated XRD peak list in this record (λ = 1.5418 Å (Cu Kα)).
Neutral-atom scattering factors, no anomalous dispersion.

Crystal structure
Unit cell a=13.3127 b=3.7517 c=4.5882 alpha=90.00 beta=90.97 gamma=90.00
Sites, in units of the cell vectors:
Cd (0.0000, 0.0000, 0.0000)
Cd (0.5000, 0.5000, 0.0000)
Sb (0.0550, 0.5000, 0.4959)
Sb (0.2399, 0.0000, 0.5663)
Sb (0.5550, 0.0000, 0.4959)
Sb (0.7399, 0.5000, 0.5663)
Se (0.2932, 0.5000, 0.9857)
Se (0.7932, 0.0000, 0.9857)

Top 10 peaks for 10 to 90 degrees two-theta, in order of rising 2θ:
23.4 deg, rel. 41
26.8 deg, rel. 81
31.2 deg, rel. 28
31.5 deg, rel. 57
31.6 deg, rel. 100
36.8 deg, rel. 61
37.2 deg, rel. 54
39.3 deg, rel. 42
41.6 deg, rel. 28
48.6 deg, rel. 47

=====

# 10
For Hf2TeS2, a DFT-relaxed cell (PBE, Alexandria) gives the simulated XRD peak list in this record (λ = 1.5418 Å (Cu Kα)).
Neutral-atom scattering factors, no anomalous dispersion.

Crystal structure
Unit cell a=3.7636 b=5.0179 c=12.1515 alpha=90.00 beta=90.00 gamma=90.00
Sites, in units of the cell vectors:
Hf (0.0000, 0.0000, 0.1846)
Hf (0.0000, 0.0000, 0.8154)
Hf (0.5000, 0.5000, 0.3154)
Hf (0.5000, 0.5000, 0.6846)
Te (0.0000, 0.5000, 0.5000)
Te (0.5000, 0.0000, 0.0000)
S (0.0000, 0.5000, 0.1702)
S (0.0000, 0.5000, 0.8298)
S (0.5000, 0.0000, 0.3298)
S (0.5000, 0.0000, 0.6702)

Top 10 peaks for 10 to 90 degrees two-theta, in order of rising 2θ:
14.6 deg, rel. 29
19.1 deg, rel. 72
32.5 deg, rel. 100
33.2 deg, rel. 74
35.8 deg, rel. 41
41.3 deg, rel. 30
48.4 deg, rel. 17
49.1 deg, rel. 62
58.6 deg, rel. 17
61.6 deg, rel. 17

=====

# 11
For NaTl8Pb6, a DFT-relaxed cell (PBE, Alexandria) gives the simulated XRD peak list in this record (λ = 1.5418 Å (Cu Kα)).
Neutral-atom scattering factors, no anomalous dispersion.

Crystal structure
Unit cell a=8.5507 b=8.5507 c=8.5507 alpha=65.22 beta=65.22 gamma=65.22
Sites, in units of the cell vectors:
Na (0.0000, 0.0000, 0.0000)
Tl (0.1429, 0.4353, 0.8245)
Tl (0.1755, 0.8571, 0.5647)
Tl (0.2319, 0.2319, 0.2319)
Tl (0.4353, 0.8245, 0.1429)
Tl (0.5647, 0.1755, 0.8571)
Tl (0.7681, 0.7681, 0.7681)
Tl (0.8245, 0.1429, 0.4353)
Tl (0.8571, 0.5647, 0.1755)
Pb (0.1483, 0.5985, 0.3489)
Pb (0.3489, 0.1483, 0.5985)
Pb (0.4015, 0.6511, 0.8517)
Pb (0.5985, 0.3489, 0.1483)
Pb (0.6511, 0.8517, 0.4015)
Pb (0.8517, 0.4015, 0.6511)

Top 10 peaks for 10 to 90 degrees two-theta, in order of rising 2θ:
14.2 deg, rel. 19
28.6 deg, rel. 21
30.0 deg, rel. 16
31.0 deg, rel. 63
33.1 deg, rel. 100
33.7 deg, rel. 40
34.7 deg, rel. 36
36.3 deg, rel. 27
54.4 deg, rel. 18
57.5 deg, rel. 14

=====

# 12
For Ac3Si2AgPt9, a DFT-relaxed cell (PBE, Alexandria) gives the simulated XRD peak list in this record (λ = 1.5418 Å (Cu Kα)).
Neutral-atom scattering factors, no anomalous dispersion.

Crystal structure
Unit cell a=5.8925 b=5.8925 c=10.9482 alpha=90.00 beta=90.00 gamma=120.00
Sites, in units of the cell vectors:
Ac (0.0000, 0.0000, 0.0000)
Ac (0.3333, 0.6667, 0.6066)
Ac (0.6667, 0.3333, 0.3934)
Si (0.3333, 0.6667, 0.1585)
Si (0.6667, 0.3333, 0.8415)
Ag (0.0000, 0.0000, 0.5000)
Pt (0.0000, 0.5000, 0.0000)
Pt (0.1599, 0.3198, 0.2993)
Pt (0.1599, 0.8401, 0.2993)
Pt (0.3198, 0.1599, 0.7007)
Pt (0.5000, 0.0000, 0.0000)
Pt (0.5000, 0.5000, 0.0000)
Pt (0.6802, 0.8401, 0.2993)
Pt (0.8401, 0.1599, 0.7007)
Pt (0.8401, 0.6802, 0.7007)

Top 10 peaks for 10 to 90 degrees two-theta, in order of rising 2θ:
24.4 deg, rel. 59
30.1 deg, rel. 19
36.1 deg, rel. 100
37.3 deg, rel. 15
38.9 deg, rel. 97
48.8 deg, rel. 28
55.3 deg, rel. 14
63.1 deg, rel. 28
68.7 deg, rel. 20
76.7 deg, rel. 16